This entry pairs a crystal structure of MgZn with its simulated X-ray diffraction stick pattern. Radiation: Cu Kα X-rays. Structure: a cell relaxed with GGA-PBE.
Intensities are scaled so that the largest is 1000.

```
data_MgZn
_symmetry_space_group_name_H-M 'P 1 21/m 1'
_symmetry_Int_Tables_number 11
_cell_length_a 3.155
_cell_length_b 4.379
_cell_length_c 5.457
_cell_angle_alpha 90.00
_cell_angle_beta 104.84
_cell_angle_gamma 90.00
loop_
_symmetry_equiv_pos_as_xyz
'x,y,z'
'-x,-y,-z'
'-x,y+1/2,-z'
'x,-y+1/2,z'
loop_
_atom_site_label
_atom_site_fract_x
_atom_site_fract_y
_atom_site_fract_z
_atom_site_occupancy
Mg1 0.154 0.250 0.328 1
Zn1 0.434 0.250 0.863 1
```

Main lines, most intense first (2θ = 15–90°):
| hkl | d [Å] | I_rel |
| --- | --- | --- |
| 0 1 2 | 2.259 | 1000 |
| 0 0 1 | 5.275 | 602 |
| 0 2 0 | 2.190 | 507 |
| 1 1 1 | 2.097 | 480 |
| 1 1 -1 | 2.471 | 443 |
| 1 1 -2 | 2.042 | 408 |
| 1 1 0 | 2.503 | 401 |
| 1 0 -1 | 2.993 | 364 |
| 1 0 0 | 3.050 | 352 |
| 0 1 1 | 3.369 | 351 |
| 1 2 0 | 1.780 | 206 |
| 2 1 1 | 1.311 | 206 |

This entry pairs a crystal structure of Ca2MgIr with its simulated X-ray diffraction stick pattern. Radiation: Cu Kα X-rays. Structure: a cell relaxed with GGA-PBE.
Intensities are scaled so that the largest is 1000.

```
data_Ca2MgIr
_symmetry_space_group_name_H-M 'I m m 2'
_symmetry_Int_Tables_number 44
_cell_length_a 3.376
_cell_length_b 5.127
_cell_length_c 12.044
_cell_angle_alpha 90.00
_cell_angle_beta 90.00
_cell_angle_gamma 90.00
loop_
_symmetry_equiv_pos_as_xyz
'x,y,z'
'-x,-y,z'
'-x,y,z'
'x,-y,z'
'x+1/2,y+1/2,z+1/2'
'-x+1/2,-y+1/2,z+1/2'
'-x+1/2,y+1/2,z+1/2'
'x+1/2,-y+1/2,z+1/2'
loop_
_atom_site_label
_atom_site_fract_x
_atom_site_fract_y
_atom_site_fract_z
_atom_site_occupancy
Ca1 0.000 0.000 0.000 1
Ca2 0.000 0.500 0.190 1
Mg1 0.000 0.000 0.365 1
Ir1 0.000 0.500 0.695 1
```

Main lines, most intense first (2θ = 15–90°):
| hkl | d [Å] | I_rel |
| --- | --- | --- |
| 1 1 2 | 2.553 | 1000 |
| 0 1 1 | 4.718 | 910 |
| 1 1 4 | 2.058 | 381 |
| 1 0 3 | 2.584 | 294 |
| 0 2 0 | 2.564 | 294 |
| 0 0 4 | 3.011 | 265 |
| 1 1 0 | 2.819 | 225 |
| 1 2 3 | 1.820 | 210 |
| 1 3 2 | 1.478 | 179 |
| 0 2 2 | 2.359 | 177 |
| 1 0 1 | 3.250 | 176 |
| 0 1 5 | 2.180 | 173 |